Starting from a crystal structure in the Materials Project, relaxed with GGA+U, the X-ray diffraction stick pattern of MoH6NO3F2 was calculated for Cu Kα (λ = 1.5418 Å).
Kinematic intensities with the Lorentz-polarization factor, no thermal factor.

Structural model:
a b c (Å): 9.460 14.343 7.991
angles (deg): 90.00 113.35 90.00
Space group C2/c (No. 15)
Inequivalent atoms, fractional coordinates:
Mo 0.133 0.143 0.237
H 0.043 0.292 0.675
H 0.048 0.419 0.366
H 0.086 0.499 0.739
H 0.088 0.208 0.839
H 0.135 0.057 0.622
H 0.185 0.056 0.843
N 0.000 0.249 0.750
N 0.000 0.460 0.250
O 0.077 0.118 0.446
O 0.156 0.262 0.233
O 0.175 0.017 0.736
F 0.137 0.377 0.592
F 0.205 0.124 0.025

Top 6 peaks for 2θ from 10° to 80°, by angle:
2θ (°), I (rel.)
11.91, 46
13.79, 32
17.29, 100
19.68, 22
24.26, 25
38.15, 27

Starting from a crystal structure in the Materials Project, relaxed with GGA+U, the X-ray diffraction stick pattern of V3Pb5O12F was calculated for Cu Kα (λ = 1.5418 Å).
Kinematic intensities with the Lorentz-polarization factor, no thermal factor.

Structural model:
a b c (Å): 10.3799 10.3799 7.3170
angles (deg): 90.00 90.00 120.00
Space group P6_3/m (No. 176)
Inequivalent atoms, fractional coordinates:
V 0.0260 0.6162 0.2500
Pb 0.0186 0.2435 0.2500
Pb 0.3333 0.6667 0.5071
O 0.0895 0.7349 0.0615
O 0.1159 0.5103 0.2500
O 0.1669 0.4971 0.7500
F 0.0000 0.0000 0.0000

Top 6 peaks for 2θ from 10° to 80°, by angle:
2θ (°), I (rel.)
26.26, 72
28.98, 95
29.86, 100
42.72, 32
45.77, 44
46.28, 30

Starting from a crystal structure in the Materials Project, relaxed with GGA+U, the X-ray diffraction stick pattern of Mn2GeO4 was calculated for Cu Kα (λ = 1.5418 Å).
Kinematic intensities with the Lorentz-polarization factor, no thermal factor.

Structural model:
a b c (Å): 6.118 12.294 8.886
angles (deg): 90.00 90.00 90.00
Space group Imma (No. 74)
Inequivalent atoms, fractional coordinates:
Mn 0.000 0.000 0.000
Mn 0.000 0.250 0.032
Mn 0.250 0.127 0.750
Ge 0.000 0.119 0.384
O 0.000 0.008 0.254
O 0.000 0.250 0.280
O 0.000 0.250 0.786
O 0.242 0.123 0.495

Top 6 peaks for 2θ from 10° to 80°, by angle:
2θ (°), I (rel.)
25.82, 36
31.06, 50
31.78, 62
33.62, 36
34.17, 100
59.58, 74

Starting from a crystal structure in the Materials Project, relaxed with GGA+U, the X-ray diffraction stick pattern of Li9Mn2Co5O16 was calculated for Cu Kα (λ = 1.5418 Å).
Kinematic intensities with the Lorentz-polarization factor, no thermal factor.

Structural model:
a b c (Å): 2.981 8.090 11.936
angles (deg): 90.75 93.69 90.84
Space group P1 (No. 1)
Inequivalent atoms, fractional coordinates:
Li 0.000 0.000 0.000
Li 0.001 0.508 0.249
Li 0.008 0.510 0.994
Li 0.480 0.262 0.126
Li 0.492 0.743 0.880
Li 0.500 0.754 0.374
Li 0.507 0.255 0.620
Li 0.987 0.506 0.759
Li 0.996 0.006 0.499
Mn 0.491 0.261 0.879
Mn 0.494 0.753 0.625
Co 0.005 0.502 0.499
Co 0.494 0.253 0.373
Co 0.502 0.745 0.121
Co 0.981 0.003 0.753
Co 0.991 0.004 0.248
O 0.009 0.265 0.494
O 0.017 0.253 0.985
O 0.029 0.741 0.502
O 0.029 0.756 0.011
O 0.458 0.014 0.370
O 0.460 0.014 0.868
O 0.471 0.510 0.617
O 0.492 0.530 0.129
O 0.503 0.486 0.873
O 0.521 0.986 0.132
O 0.523 0.998 0.632
O 0.536 0.492 0.380
O 0.963 0.765 0.748
O 0.969 0.243 0.766
O 0.971 0.769 0.244
O 0.981 0.242 0.251

Top 6 peaks for 2θ from 10° to 80°, by angle:
2θ (°), I (rel.)
18.38, 100
34.56, 19
41.50, 33
44.42, 26
44.82, 25
62.41, 16

Starting from a crystal structure in the Materials Project, relaxed with GGA+U, the X-ray diffraction stick pattern of Nd2MnP2O was calculated for Cu Kα (λ = 1.5418 Å).
Kinematic intensities with the Lorentz-polarization factor, no thermal factor.

Structural model:
a b c (Å): 3.369 3.369 14.854
angles (deg): 90.00 90.00 90.00
Space group P4/mmm (No. 123)
Inequivalent atoms, fractional coordinates:
Nd 0.000 0.000 0.142
Mn 0.000 0.000 0.500
P 0.000 0.000 0.341
O 0.000 0.000 0.000

Top 6 peaks for 2θ from 10° to 80°, by angle:
2θ (°), I (rel.)
17.91, 37
26.46, 100
32.14, 37
36.00, 26
37.77, 38
45.47, 23

Starting from a crystal structure in the Materials Project, relaxed with GGA+U, the X-ray diffraction stick pattern of Na4ThW4O16 was calculated for Cu Kα (λ = 1.5418 Å).
Kinematic intensities with the Lorentz-polarization factor, no thermal factor.

Structural model:
a b c (Å): 11.677 11.677 12.041
angles (deg): 90.00 90.00 90.00
Space group I4_1/a (No. 88, origin choice 2)
Inequivalent atoms, fractional coordinates:
Na 0.118 0.029 0.345
Th 0.000 0.250 0.125
W 0.091 0.069 0.870
O 0.041 0.408 0.798
O 0.060 0.363 0.284
O 0.086 0.426 0.060
O 0.179 0.457 0.478

Top 6 peaks for 2θ from 10° to 80°, by angle:
2θ (°), I (rel.)
10.55, 70
18.52, 47
24.03, 24
28.35, 100
46.01, 28
57.91, 20